For Na5LaMo4O16, a crystal structure in Alexandria, relaxed with GGA+U gives the calculated powder diffractogram in this record (Cu Kα X-rays).
Neutral-atom scattering factors, no anomalous dispersion.

Main lines, in order of falling intensity (2θ from 5° to 70°):
- d = 3.139 Å, I 100
- d = 4.799 Å, I 31
- d = 8.296 Å, I 31
- d = 1.956 Å, I 20
- d = 1.600 Å, I 16
- d = 3.718 Å, I 15
- d = 2.631 Å, I 14
- d = 3.702 Å, I 9
- d = 1.860 Å, I 9
- d = 1.727 Å, I 8

```
52
Lattice="-5.8826 5.8826 5.8504 5.8826 -5.8826 5.8504 5.8826 5.8826 -5.8504" Properties=species:S:1:pos:R:3 pbc="T T T"
Na 1.4508 -0.5353 1.8729
Na 8.2886 1.4905 1.0523
Na 7.3334 -0.5353 3.9775
Na 0.0000 2.9413 1.4626
Na 3.4766 4.3921 1.0523
Na 2.4060 1.4905 4.7982
Na 5.8826 2.9413 4.3878
Na -1.4508 6.4179 1.8729
Na -2.4060 4.3921 4.7982
Na 4.4318 6.4179 3.9775
La 5.8826 2.9413 -1.4626
La 0.0000 2.9413 7.3130
Mo 2.1049 1.8029 -1.2406
Mo 4.7442 0.8364 1.6846
Mo 3.7777 -1.8029 4.6098
Mo 4.7442 6.7190 -1.6846
Mo 1.1384 -0.8364 7.5350
Mo 2.1049 7.6855 1.2406
Mo 1.1384 5.0462 4.1658
Mo 3.7777 4.0797 7.0911
O 4.8632 -0.7509 0.7824
O 2.0866 0.3859 -0.1711
O 8.0730 -1.9219 2.1428
O 5.1737 4.2766 -3.4700
O 2.1904 -1.9219 3.7076
O 5.1737 -1.6060 3.4700
O 4.1352 -3.2535 5.6072
O 4.5473 2.2324 0.5447
O 1.7474 3.2535 -0.2433
O 3.3272 0.8547 2.7541
O 6.1948 1.1939 2.6820
O 3.3272 6.7373 -2.7541
O 7.2179 3.6502 0.5447
O 4.8632 5.1317 -0.7824
O 0.3122 1.1939 3.1685
O 3.7960 -0.3859 5.6793
O 2.0866 6.2686 0.1711
O 5.5704 4.6887 2.6820
O 1.0194 0.7509 6.6328
O -1.3353 2.2324 5.3057
O 2.5554 -0.8547 8.6045
O -0.3122 4.6887 3.1685
O 2.5554 5.0280 3.0963
O 4.1352 2.6291 6.0937
O 1.3353 3.6502 5.3057
O 1.7474 9.1361 0.2433
O 0.7089 7.4886 2.3805
O 3.6922 7.8045 2.1428
O 0.7089 1.6060 9.3204
O -2.1904 7.8045 3.7076
O 3.7960 5.4967 6.0215
O 1.0194 6.6336 5.0680
```